[1]
The following is a calculated X-ray diffraction stick pattern of Gd2TlIr. It was derived from DFT lattice parameters and positions (PBE), using copper Kα.
No peak broadening, texture or thermal motion is included.

Structure:
Lattice parameters (Å, degrees): 3.488 3.488 8.161 90.00 90.00 90.00
Fractional positions:
Gd (0.000, 0.000, 0.205)
Gd (0.000, 0.000, 0.795)
Tl (0.500, 0.500, 0.500)
Ir (0.500, 0.500, 0.000)

Principal peaks in the range 15° ≤ 2θ ≤ 90°, most intense first:
d [Å]  I/Imax
2.651  100
2.467  47
1.457  32
1.744  17
1.572  13
1.103  8
1.326  8
2.040  8
1.118  7
2.145  6
1.191  5
1.233  5



[2]
The following is a calculated X-ray diffraction stick pattern of Pm5Mg4Cd. It was derived from DFT lattice parameters and positions (PBE), using copper Kα.
No peak broadening, texture or thermal motion is included.

Structure:
Lattice parameters (Å, degrees): 3.856 3.856 19.290 90.00 90.00 90.00
Fractional positions:
Pm (0.000, 0.000, 0.000)
Pm (0.000, 0.000, 0.201)
Pm (0.000, 0.000, 0.401)
Pm (0.000, 0.000, 0.599)
Pm (0.000, 0.000, 0.799)
Mg (0.500, 0.500, 0.101)
Mg (0.500, 0.500, 0.300)
Mg (0.500, 0.500, 0.700)
Mg (0.500, 0.500, 0.899)
Cd (0.500, 0.500, 0.500)

Principal peaks in the range 15° ≤ 2θ ≤ 90°, most intense first:
d [Å]  I/Imax
2.727  100
1.574  37
3.856  36
1.928  18
1.220  16
1.725  15
1.363  11
2.227  11
1.285  7
1.163  4
1.113  4
3.781  1



[3]
The following is a calculated X-ray diffraction stick pattern of BaSr2UN4. It was derived from DFT lattice parameters and positions (PBE), using copper Kα.
No peak broadening, texture or thermal motion is included.

Structure:
Lattice parameters (Å, degrees): 7.582 7.582 7.297 118.73 118.73 93.21
Fractional positions:
Ba (0.000, 0.000, 0.000)
Ba (0.000, 0.000, 0.500)
Sr (0.000, 0.500, 0.000)
Sr (0.500, 0.000, 0.500)
Sr (0.500, 0.500, 0.000)
Sr (0.500, 0.500, 0.500)
U (0.000, 0.500, 0.500)
U (0.500, 0.000, 0.000)
N (0.193, 0.325, 0.509)
N (0.251, 0.746, 0.528)
N (0.254, 0.749, 0.972)
N (0.325, 0.193, 0.009)
N (0.675, 0.807, 0.991)
N (0.746, 0.251, 0.028)
N (0.749, 0.254, 0.472)
N (0.807, 0.675, 0.491)

Principal peaks in the range 15° ≤ 2θ ≤ 90°, most intense first:
d [Å]  I/Imax
3.084  100
3.042  97
2.605  93
1.893  65
2.755  49
1.587  30
1.570  30
1.640  19
1.647  19
3.175  19
1.542  17
1.861  17



[4]
The following is a calculated X-ray diffraction stick pattern of Ca8Cl. It was derived from DFT lattice parameters and positions (PBE), using copper Kα.
No peak broadening, texture or thermal motion is included.

Structure:
Lattice parameters (Å, degrees): 9.567 9.567 9.567 92.58 92.58 155.49
Fractional positions:
Ca (0.000, 0.339, 0.339)
Ca (0.000, 0.661, 0.661)
Ca (0.339, 0.000, 0.339)
Ca (0.344, 0.344, 0.688)
Ca (0.344, 0.656, 0.000)
Ca (0.656, 0.344, 0.000)
Ca (0.656, 0.656, 0.312)
Ca (0.661, 0.000, 0.661)
Cl (0.000, 0.000, 0.000)

Principal peaks in the range 15° ≤ 2θ ≤ 90°, most intense first:
d [Å]  I/Imax
2.987  100
3.116  55
1.773  35
2.204  19
1.702  16
1.493  10
2.031  8
1.116  7
1.149  7
1.171  7
1.394  6
1.382  6



[5]
The following is a calculated X-ray diffraction stick pattern of CsRbVS3. It was derived from DFT lattice parameters and positions (PBE), using copper Kα.
No peak broadening, texture or thermal motion is included.

Structure:
Lattice parameters (Å, degrees): 7.835 7.835 14.524 115.01 115.01 29.40
Fractional positions:
Cs (0.163, 0.163, 0.136)
Cs (0.837, 0.837, 0.864)
Rb (0.133, 0.133, 0.512)
Rb (0.867, 0.867, 0.488)
V (0.477, 0.477, 0.250)
V (0.523, 0.523, 0.750)
S (0.081, 0.081, 0.708)
S (0.363, 0.363, 0.665)
S (0.428, 0.428, 0.089)
S (0.572, 0.572, 0.911)
S (0.637, 0.637, 0.335)
S (0.919, 0.919, 0.292)

Principal peaks in the range 15° ≤ 2θ ≤ 90°, most intense first:
d [Å]  I/Imax
3.487  100
2.993  88
2.884  61
3.773  46
4.354  29
2.711  28
4.724  26
3.408  26
3.935  24
1.988  24
2.900  22
2.728  21



[6]
The following is a calculated X-ray diffraction stick pattern of TmU3Tl4Te8. It was derived from DFT lattice parameters and positions (PBE), using copper Kα.
No peak broadening, texture or thermal motion is included.

Structure:
Lattice parameters (Å, degrees): 9.744 9.744 9.744 53.85 53.85 53.85
Fractional positions:
Tm (0.000, 0.000, 0.000)
U (0.000, 0.500, 0.500)
U (0.500, 0.000, 0.500)
U (0.500, 0.500, 0.000)
Tl (0.000, 0.000, 0.500)
Tl (0.000, 0.500, 0.000)
Tl (0.500, 0.000, 0.000)
Tl (0.500, 0.500, 0.500)
Te (0.235, 0.235, 0.743)
Te (0.235, 0.743, 0.235)
Te (0.257, 0.765, 0.765)
Te (0.261, 0.261, 0.261)
Te (0.739, 0.739, 0.739)
Te (0.743, 0.235, 0.235)
Te (0.765, 0.257, 0.765)
Te (0.765, 0.765, 0.257)

Principal peaks in the range 15° ≤ 2θ ≤ 90°, most intense first:
d [Å]  I/Imax
3.257  100
2.414  41
2.206  36
1.827  19
1.407  17
1.512  16
1.629  12
1.310  12
3.653  8
2.077  7
1.948  6
1.274  6